Record 1
The following is a theoretical XRD peak list of Pr13Ru2. It was derived from a GGA-PBE-relaxed structure, using Cu Kα X-rays.

Structure:
a b c (Å): 6.722 8.426 9.999
angles (deg): 65.70 84.30 82.27
Fractional coordinates of all 15 atoms:
Pr: 0.000 0.000 0.000
Pr: 0.031 0.825 0.677
Pr: 0.164 0.672 0.377
Pr: 0.233 0.550 0.055
Pr: 0.310 0.378 0.772
Pr: 0.440 0.231 0.443
Pr: 0.455 0.080 0.149
Pr: 0.545 0.920 0.851
Pr: 0.560 0.769 0.557
Pr: 0.690 0.622 0.228
Pr: 0.767 0.450 0.945
Pr: 0.836 0.328 0.623
Pr: 0.969 0.175 0.323
Ru: 0.192 0.105 0.705
Ru: 0.808 0.895 0.295

Largest 10 diffraction maxima, sorted by position, 2θ = 10–90°:
| 2θ (°) | d (Å) | intensity | hkl |
| --- | --- | --- | --- |
| 28.13 | 3.172 | 49 | 2 1 0 |
| 28.80 | 3.100 | 97 | 0 2 -1 |
| 28.88 | 3.092 | 47 | 1 1 3 |
| 33.04 | 2.711 | 100 | 2 -1 1 |
| 33.53 | 2.672 | 47 | 1 3 2 |
| 46.99 | 1.934 | 16 | -3 1 2 |
| 47.27 | 1.923 | 17 | 2 3 -1 |
| 47.87 | 1.900 | 17 | 1 -1 4 |
| 48.18 | 1.889 | 18 | -1 4 1 |
| 56.48 | 1.629 | 18 | -2 2 5 |

Record 2
The following is a theoretical XRD peak list of Pr7Ru3. It was derived from a GGA-PBE-relaxed structure, using Cu Kα X-rays.

Structure:
a b c (Å): 7.395 23.400 6.704
angles (deg): 90.00 90.00 90.00
Fractional coordinates of all 40 atoms:
Pr: 0.049 0.115 0.144
Pr: 0.049 0.385 0.144
Pr: 0.173 0.750 0.638
Pr: 0.179 0.023 0.674
Pr: 0.179 0.477 0.674
Pr: 0.183 0.174 0.679
Pr: 0.183 0.326 0.679
Pr: 0.317 0.674 0.179
Pr: 0.317 0.826 0.179
Pr: 0.321 0.523 0.174
Pr: 0.321 0.977 0.174
Pr: 0.327 0.250 0.138
Pr: 0.451 0.615 0.644
Pr: 0.451 0.885 0.644
Pr: 0.549 0.115 0.356
Pr: 0.549 0.385 0.356
Pr: 0.673 0.750 0.862
Pr: 0.679 0.023 0.826
Pr: 0.679 0.477 0.826
Pr: 0.683 0.174 0.821
Pr: 0.683 0.326 0.821
Pr: 0.817 0.674 0.321
Pr: 0.817 0.826 0.321
Pr: 0.821 0.523 0.326
Pr: 0.821 0.977 0.326
Pr: 0.827 0.250 0.362
Pr: 0.951 0.615 0.856
Pr: 0.951 0.885 0.856
Ru: 0.022 0.750 0.035
Ru: 0.110 0.595 0.466
Ru: 0.110 0.905 0.466
Ru: 0.390 0.095 0.966
Ru: 0.390 0.405 0.966
Ru: 0.478 0.250 0.535
Ru: 0.522 0.750 0.465
Ru: 0.610 0.595 0.034
Ru: 0.610 0.905 0.034
Ru: 0.890 0.095 0.534
Ru: 0.890 0.405 0.534
Ru: 0.978 0.250 0.965

Largest 10 diffraction maxima, sorted by position, 2θ = 10–90°:
| 2θ (°) | d (Å) | intensity | hkl |
| --- | --- | --- | --- |
| 29.25 | 3.053 | 52 | 1 0 2 |
| 29.87 | 2.991 | 100 | 0 7 1 |
| 31.47 | 2.843 | 46 | 1 3 2 |
| 31.58 | 2.833 | 30 | 2 4 1 |
| 32.28 | 2.773 | 47 | 1 7 1 |
| 35.31 | 2.542 | 23 | 0 6 2 |
| 36.21 | 2.480 | 36 | 2 7 0 |
| 38.93 | 2.314 | 29 | 3 0 1 |
| 45.13 | 2.009 | 28 | 1 4 3 |
| 51.26 | 1.782 | 23 | 4 0 1 |

Record 3
The following is a theoretical XRD peak list of Pr3Ru. It was derived from a GGA-PBE-relaxed structure, using Cu Kα X-rays.

Structure:
a b c (Å): 11.978 11.978 6.617
angles (deg): 90.00 90.00 90.00
Fractional coordinates of all 32 atoms:
Pr: 0.031 0.902 0.189
Pr: 0.098 0.531 0.689
Pr: 0.110 0.829 0.689
Pr: 0.121 0.310 0.022
Pr: 0.171 0.610 0.189
Pr: 0.190 0.121 0.478
Pr: 0.310 0.379 0.478
Pr: 0.329 0.890 0.189
Pr: 0.379 0.190 0.022
Pr: 0.390 0.671 0.689
Pr: 0.402 0.969 0.689
Pr: 0.469 0.598 0.189
Pr: 0.531 0.402 0.811
Pr: 0.598 0.031 0.311
Pr: 0.610 0.329 0.311
Pr: 0.621 0.810 0.978
Pr: 0.671 0.110 0.811
Pr: 0.690 0.621 0.522
Pr: 0.810 0.879 0.522
Pr: 0.829 0.390 0.811
Pr: 0.879 0.690 0.978
Pr: 0.890 0.171 0.311
Pr: 0.902 0.469 0.311
Pr: 0.969 0.098 0.811
Ru: 0.056 0.317 0.502
Ru: 0.183 0.056 0.998
Ru: 0.317 0.444 0.998
Ru: 0.444 0.183 0.502
Ru: 0.556 0.817 0.498
Ru: 0.683 0.556 0.002
Ru: 0.817 0.944 0.002
Ru: 0.944 0.683 0.498

Largest 10 diffraction maxima, sorted by position, 2θ = 10–90°:
| 2θ (°) | d (Å) | intensity | hkl |
| --- | --- | --- | --- |
| 27.13 | 3.287 | 29 | 1 3 1 |
| 28.97 | 3.082 | 75 | 1 1 2 |
| 30.10 | 2.969 | 77 | 3 2 1 |
| 31.73 | 2.820 | 26 | 3 3 0 |
| 33.46 | 2.678 | 100 | 4 2 0 |
| 33.69 | 2.660 | 51 | 1 4 1 |
| 34.54 | 2.597 | 38 | 3 3 1 |
| 36.04 | 2.492 | 98 | 3 1 2 |
| 38.33 | 2.348 | 27 | 1 5 0 |
| 56.01 | 1.642 | 30 | 1 7 1 |

Record 4
The following is a theoretical XRD peak list of PrSi2Ru4. It was derived from a GGA-PBE-relaxed structure, using Cu Kα X-rays.

Structure:
a b c (Å): 7.607 7.607 3.895
angles (deg): 90.00 90.00 90.00
Fractional coordinates of all 14 atoms:
Pr: 0.000 0.000 0.000
Pr: 0.500 0.500 0.500
Si: 0.220 0.220 0.500
Si: 0.280 0.720 0.000
Si: 0.720 0.280 0.000
Si: 0.780 0.780 0.500
Ru: 0.078 0.658 0.500
Ru: 0.158 0.422 0.000
Ru: 0.342 0.922 0.500
Ru: 0.422 0.158 0.000
Ru: 0.578 0.842 0.000
Ru: 0.658 0.078 0.500
Ru: 0.842 0.578 0.000
Ru: 0.922 0.342 0.500

Largest 10 diffraction maxima, sorted by position, 2θ = 10–90°:
| 2θ (°) | d (Å) | intensity | hkl |
| --- | --- | --- | --- |
| 35.02 | 2.562 | 100 | 2 1 1 |
| 37.38 | 2.405 | 46 | 3 1 0 |
| 40.77 | 2.213 | 40 | 2 2 1 |
| 44.26 | 2.047 | 34 | 3 1 1 |
| 46.64 | 1.948 | 25 | 0 0 2 |
| 49.40 | 1.845 | 16 | 4 1 0 |
| 55.08 | 1.667 | 15 | 4 1 1 |
| 61.24 | 1.514 | 22 | 3 1 2 |
| 65.91 | 1.417 | 21 | 5 0 1 |
| 84.81 | 1.143 | 13 | 5 2 2 |